1.
Computed powder XRD pattern of TiTc2W for Cu Kα, 1.54184 Å, from a crystal structure in the Materials Project, relaxed with PBE.
Neutral-atom scattering factors, no anomalous dispersion.

The 8 most intense peaks (2θ from 10° to 90°), sorted by position:
- 2θ 24.7, I = 24
- 2θ 40.9, I = 100
- 2θ 48.4, I = 13
- 2θ 59.2, I = 17
- 2θ 65.2, I = 5
- 2θ 74.5, I = 33
- 2θ 79.9, I = 4
- 2θ 88.7, I = 11

```
16
Lattice="6.2398 0.0000 0.0000 0.0000 6.2398 0.0000 0.0000 0.0000 6.2398" Properties=species:S:1:pos:R:3 pbc="T T T"
Ti 0.0000 0.0000 0.0000
Ti 0.0000 3.1199 3.1199
Ti 3.1199 0.0000 3.1199
Ti 3.1199 3.1199 0.0000
Tc 1.5599 1.5599 1.5599
Tc 1.5599 1.5599 4.6798
Tc 1.5599 4.6798 1.5599
Tc 1.5599 4.6798 4.6798
Tc 4.6798 1.5599 1.5599
Tc 4.6798 1.5599 4.6798
Tc 4.6798 4.6798 1.5599
Tc 4.6798 4.6798 4.6798
W 0.0000 0.0000 3.1199
W 0.0000 3.1199 0.0000
W 3.1199 0.0000 0.0000
W 3.1199 3.1199 3.1199
```

2.
Computed powder XRD pattern of Zr3Al4C6 for Cu Kα, 1.54184 Å, from a crystal structure in the Materials Project, relaxed with PBE.
Neutral-atom scattering factors, no anomalous dispersion.

The 10 most intense peaks (2θ from 10° to 90°), sorted by position:
- 2θ 32.1, I = 85
- 2θ 32.7, I = 16
- 2θ 34.1, I = 57
- 2θ 35.9, I = 35
- 2θ 38.3, I = 18
- 2θ 39.0, I = 100
- 2θ 54.7, I = 47
- 2θ 58.1, I = 27
- 2θ 68.7, I = 19
- 2θ 69.2, I = 17

```
13
Lattice="1.6785 0.9691 16.4351 -1.6785 0.9691 16.4351 0.0000 -1.9382 16.4351" Properties=species:S:1:pos:R:3 pbc="T T T"
Zr 0.0000 0.0000 0.0000
Zr 0.0000 0.0000 19.1437
Zr 0.0000 0.0000 30.1614
Al 0.0000 0.0000 7.2754
Al 0.0000 0.0000 11.4137
Al 0.0000 0.0000 37.8915
Al 0.0000 0.0000 42.0297
C 0.0000 0.0000 4.1277
C 0.0000 0.0000 9.4599
C 0.0000 0.0000 15.0620
C 0.0000 0.0000 34.2431
C 0.0000 0.0000 39.8452
C 0.0000 0.0000 45.1774
```

3.
Computed powder XRD pattern of La3BN2O3 for Cu Kα, 1.54184 Å, from a crystal structure in the Materials Project, relaxed with PBE.
Neutral-atom scattering factors, no anomalous dispersion.

The 10 most intense peaks (2θ from 10° to 90°), sorted by position:
- 2θ 28.0, I = 100
- 2θ 29.8, I = 41
- 2θ 32.2, I = 24
- 2θ 33.0, I = 24
- 2θ 36.0, I = 23
- 2θ 46.2, I = 20
- 2θ 48.4, I = 15
- 2θ 49.5, I = 17
- 2θ 57.4, I = 28
- 2θ 72.2, I = 14

```
36
Lattice="12.7460 0.0000 0.0000 0.0000 3.7156 0.0000 0.0000 0.0000 11.0608" Properties=species:S:1:pos:R:3 pbc="T T T"
La 1.4602 0.9289 1.2303
La 1.4793 2.7867 4.6180
La 1.6253 0.9289 8.0157
La 4.7477 2.7867 2.4854
La 4.8936 0.9289 10.1484
La 4.9127 2.7867 6.7607
La 7.8332 0.9289 4.3000
La 7.8523 2.7867 0.9124
La 7.9983 0.9289 8.5754
La 11.1207 2.7867 3.0450
La 11.2666 0.9289 6.4428
La 11.2857 2.7867 9.8304
B 2.6712 2.7867 10.1586
B 3.7018 0.9289 4.6282
B 9.0441 2.7867 6.4325
B 10.0748 0.9289 0.9021
N 2.9692 0.9289 5.8900
N 3.0401 0.9289 3.3225
N 3.3329 2.7867 8.8529
N 3.4038 2.7867 0.3596
N 9.3421 0.9289 10.7011
N 9.4130 0.9289 2.2079
N 9.7059 2.7867 7.7383
N 9.7768 2.7867 5.1708
O 0.4234 2.7867 6.7440
O 0.6870 2.7867 2.3306
O 1.2233 2.7867 10.1912
O 5.1496 0.9289 4.6609
O 5.6860 0.9289 7.8609
O 5.9496 0.9289 1.2137
O 6.7964 2.7867 9.8471
O 7.0599 2.7867 3.1998
O 7.5963 2.7867 6.3999
O 11.5226 0.9289 0.8695
O 12.0590 0.9289 8.7302
O 12.3225 0.9289 4.3167
```

4.
Computed powder XRD pattern of SrMg14Ti for Cu Kα, 1.54184 Å, from a crystal structure in the Materials Project, relaxed with PBE.
Neutral-atom scattering factors, no anomalous dispersion.

The 10 most intense peaks (2θ from 10° to 90°), sorted by position:
- 2θ 17.8, I = 10
- 2θ 31.5, I = 9
- 2θ 31.6, I = 18
- 2θ 34.5, I = 25
- 2θ 36.1, I = 100
- 2θ 47.4, I = 16
- 2θ 56.1, I = 11
- 2θ 62.8, I = 18
- 2θ 67.5, I = 12
- 2θ 68.7, I = 9

```
16
Lattice="10.4001 0.0000 0.0000 0.0000 3.2690 5.6858 0.0000 -3.2690 5.6858" Properties=species:S:1:pos:R:3 pbc="T T T"
Sr 0.0000 0.0000 0.0000
Mg 0.0000 -1.6100 2.8534
Mg 0.0000 1.6100 2.8534
Mg 2.5109 0.0000 7.5032
Mg 2.6630 -1.5658 4.6911
Mg 2.6630 1.5658 4.6911
Mg 2.7204 0.0000 1.9207
Mg 5.2000 0.0000 5.6678
Mg 5.2000 -1.6133 8.4957
Mg 5.2000 1.6133 8.4957
Mg 5.2000 0.0000 11.3332
Mg 7.6797 0.0000 1.9207
Mg 7.7370 -1.5658 4.6911
Mg 7.7370 1.5658 4.6911
Mg 7.8892 0.0000 7.5032
Ti 0.0000 0.0000 5.5504
```

5.
Computed powder XRD pattern of Sb for Cu Kα, 1.54184 Å, from a crystal structure in the Materials Project, relaxed with PBE.
Neutral-atom scattering factors, no anomalous dispersion.

The 10 most intense peaks (2θ from 10° to 90°), sorted by position:
- 2θ 20.6, I = 67
- 2θ 21.0, I = 56
- 2θ 29.4, I = 51
- 2θ 29.9, I = 100
- 2θ 30.7, I = 49
- 2θ 31.8, I = 95
- 2θ 32.3, I = 75
- 2θ 33.0, I = 61
- 2θ 33.6, I = 65
- 2θ 41.5, I = 62

```
14
Lattice="6.5398 0.0000 0.0000 -2.1291 8.7784 0.0000 -2.9805 -2.0766 8.3092" Properties=species:S:1:pos:R:3 pbc="T T T"
Sb 0.0000 0.0000 0.0000
Sb -2.5548 3.3509 4.1546
Sb -3.5684 0.8562 8.1666
Sb -0.9839 0.8699 2.7436
Sb -1.3832 0.9833 5.7331
Sb -0.4352 5.1405 2.7612
Sb 0.1021 -1.3457 6.8653
Sb 1.7796 -1.0383 4.1546
Sb 2.2053 4.3892 0.0000
Sb 1.3280 8.0475 1.4440
Sb 1.8653 1.5613 5.5480
Sb 2.8133 5.7186 2.5762
Sb 2.4140 5.8320 5.5656
Sb 4.9986 5.8456 0.1426
```

6.
Computed powder XRD pattern of Ti4ZnO8 for Cu Kα, 1.54184 Å, from a crystal structure in the Materials Project, relaxed with PBE.
Neutral-atom scattering factors, no anomalous dispersion.

The 10 most intense peaks (2θ from 10° to 90°), sorted by position:
- 2θ 26.3, I = 41
- 2θ 26.7, I = 90
- 2θ 27.8, I = 100
- 2θ 28.2, I = 45
- 2θ 36.0, I = 68
- 2θ 36.2, I = 43
- 2θ 39.6, I = 53
- 2θ 40.8, I = 55
- 2θ 48.6, I = 46
- 2θ 64.9, I = 41

```
13
Lattice="7.2399 -1.4779 0.0000 7.2399 1.4779 0.0000 -6.7444 0.0000 7.3893" Properties=species:S:1:pos:R:3 pbc="T T T"
Ti 0.0000 0.0000 0.0000
Ti 0.3978 0.0000 4.6972
Ti 5.1324 0.0000 2.5637
Ti 9.7117 0.0000 2.1408
Zn 4.3716 0.0000 6.3176
O -1.2298 0.0000 1.5277
O 1.5809 0.0000 3.1253
O 3.4833 0.0000 1.3257
O -0.5014 0.0000 6.5223
O 8.3818 0.0000 0.6847
O 6.4738 0.0000 3.9851
O 8.5902 0.0000 5.5218
O 11.3696 0.0000 3.3437
```

7.
Computed powder XRD pattern of Dy2Se3O12 for Cu Kα, 1.54184 Å, from a crystal structure in the Materials Project, relaxed with PBE.
Neutral-atom scattering factors, no anomalous dispersion.

The 10 most intense peaks (2θ from 10° to 90°), sorted by position:
- 2θ 15.1, I = 18
- 2θ 17.3, I = 18
- 2θ 25.4, I = 12
- 2θ 29.3, I = 100
- 2θ 30.7, I = 17
- 2θ 35.5, I = 9
- 2θ 47.6, I = 16
- 2θ 47.7, I = 14
- 2θ 53.7, I = 9
- 2θ 60.1, I = 9

```
34
Lattice="3.5605 -5.8313 0.0000 3.5605 5.8313 0.0000 -3.5271 0.0000 10.7289" Properties=species:S:1:pos:R:3 pbc="T T T"
Dy 0.8638 1.4595 1.0131
Dy -0.8997 -1.4595 6.3775
Dy 4.4937 1.4595 4.3514
Dy 2.7301 -1.4595 9.7158
Se 2.6788 4.4521 2.6822
Se 0.9397 1.5122 4.5566
Se -0.8238 -1.5121 9.9210
Se 4.4178 1.5121 0.8079
Se 2.6542 -1.5122 6.1723
Se 0.9152 -4.4521 8.0467
O 0.5536 2.2677 3.1133
O 2.2732 3.5193 1.3164
O -0.4599 0.5888 4.9088
O -1.3079 0.4886 7.6338
O 0.4557 -0.4886 2.2694
O -2.2235 -0.5888 10.2733
O 1.2731 2.5021 5.8410
O 3.0843 3.5193 4.0481
O 0.5573 2.5021 10.2523
O -1.2099 -2.2677 8.4778
O 3.0334 0.6353 1.1451
O 2.3242 0.6353 4.2194
O 1.2698 -0.6353 6.5095
O 0.5606 -0.6353 9.5838
O 4.8039 2.2677 2.2511
O 3.0367 -2.5021 0.4766
O 0.5096 -3.5193 6.6808
O 2.3208 -2.5021 4.8879
O 5.8174 0.5888 0.4556
O 3.1383 0.4886 8.4595
O 4.9018 -0.4886 3.0951
O 4.0539 -0.5888 5.8201
O 1.3208 -3.5193 9.4125
O 3.0403 -2.2677 7.6156
```

8.
Computed powder XRD pattern of SrHfO3 for Cu Kα, 1.54184 Å, from a crystal structure in the Materials Project, relaxed with PBE.
Neutral-atom scattering factors, no anomalous dispersion.

The 10 most intense peaks (2θ from 10° to 90°), sorted by position:
- 2θ 21.5, I = 11
- 2θ 30.7, I = 100
- 2θ 30.8, I = 52
- 2θ 43.8, I = 15
- 2θ 44.0, I = 14
- 2θ 44.3, I = 13
- 2θ 54.5, I = 22
- 2θ 54.6, I = 22
- 2θ 54.8, I = 22
- 2θ 88.9, I = 12

```
20
Lattice="4.0910 -4.1352 0.0000 4.0910 4.1352 0.0000 0.0000 0.0000 8.2288" Properties=species:S:1:pos:R:3 pbc="T T T"
Sr 4.0910 4.0846 6.1716
Sr 4.0910 0.0794 2.0572
Sr 4.0910 -0.0794 6.1716
Sr 4.0910 -4.0846 2.0572
Hf 2.0455 2.0676 0.0000
Hf 2.0455 2.0676 4.1144
Hf 2.0455 -2.0676 0.0000
Hf 2.0455 -2.0676 4.1144
O 2.4054 2.0332 2.0572
O 1.7657 0.0000 0.0000
O 1.7657 0.0000 4.1144
O 4.0910 1.8042 4.4666
O 4.0910 1.8042 7.8766
O 5.7766 2.0332 2.0572
O 2.4054 -2.0332 6.1716
O 4.0910 -1.8042 0.3522
O 4.0910 -1.8042 3.7622
O 6.4163 0.0000 0.0000
O 6.4163 0.0000 4.1144
O 5.7766 -2.0332 6.1716
```

9.
Computed powder XRD pattern of Ac3Hg for Cu Kα, 1.54184 Å, from a crystal structure in the Materials Project, relaxed with PBE.
Neutral-atom scattering factors, no anomalous dispersion.

The 10 most intense peaks (2θ from 10° to 90°), sorted by position:
- 2θ 26.7, I = 24
- 2θ 30.2, I = 24
- 2θ 30.8, I = 100
- 2θ 40.8, I = 16
- 2θ 47.2, I = 20
- 2θ 54.0, I = 21
- 2θ 57.1, I = 23
- 2θ 57.4, I = 17
- 2θ 77.4, I = 13
- 2θ 82.2, I = 8

```
8
Lattice="7.7050 0.0000 0.0000 -3.8525 6.6727 0.0000 0.0000 0.0000 5.9125" Properties=species:S:1:pos:R:3 pbc="T T T"
Ac 0.0000 2.3484 1.4781
Ac -1.8187 5.4985 1.4781
Ac 2.0338 1.1742 4.4344
Ac 1.8187 5.4985 1.4781
Ac 5.6712 1.1742 4.4344
Ac 3.8525 4.3243 4.4344
Hg 0.0000 4.4485 4.4344
Hg 3.8525 2.2242 1.4781
```